# 1
Computed PXRD pattern
Compound: Cs2NpMoO6
Radiation: a wavelength of 1.5418 Å
Structure: the GGA+U geometry in Alexandria
Neutral-atom scattering factors, no anomalous dispersion.

Crystal structure
Unit cell a=7.167 b=7.160 c=5.863 alpha=65.90 beta=65.78 gamma=48.31
Positions (direct):
1 Cs 0.250 0.250 0.250
2 Cs 0.750 0.750 0.750
3 Np 0.000 0.000 0.000
4 Mo 0.500 0.500 0.500
5 O 0.160 0.160 0.840
6 O 0.266 0.734 0.734
7 O 0.270 0.730 0.270
8 O 0.730 0.270 0.730
9 O 0.734 0.266 0.266
10 O 0.840 0.840 0.160

Most intense lines, 2θ from 10° to 90°, low angle first:
2θ/deg, I_rel
16.92, 16.7
26.36, 100.0
30.50, 32.2
30.61, 20.9
43.60, 9.0
43.75, 29.0
51.73, 31.2
51.88, 17.9
70.08, 17.7
72.11, 9.7

# 2
Computed PXRD pattern
Compound: Cs2Mo5O16
Radiation: a wavelength of 1.5418 Å
Structure: the GGA+U geometry in Alexandria
Neutral-atom scattering factors, no anomalous dispersion.

Crystal structure
Unit cell a=11.409 b=11.409 c=14.700 alpha=120.92 beta=120.92 gamma=28.63
Positions (direct):
1 Cs 0.055 0.383 0.334
2 Cs 0.383 0.055 0.834
3 Cs 0.617 0.945 0.166
4 Cs 0.945 0.617 0.666
5 Mo 0.104 0.679 0.036
6 Mo 0.131 0.869 0.750
7 Mo 0.271 0.608 0.393
8 Mo 0.321 0.896 0.464
9 Mo 0.392 0.729 0.107
10 Mo 0.608 0.271 0.893
11 Mo 0.679 0.104 0.536
12 Mo 0.729 0.392 0.607
13 Mo 0.869 0.131 0.250
14 Mo 0.896 0.321 0.964
15 O 0.034 0.826 0.465
16 O 0.047 0.328 0.084
17 O 0.061 0.133 0.365
18 O 0.133 0.061 0.865
19 O 0.171 0.812 0.341
20 O 0.174 0.966 0.035
21 O 0.188 0.829 0.159
22 O 0.217 0.488 0.283
23 O 0.295 0.648 0.814
24 O 0.312 0.417 0.081
25 O 0.328 0.047 0.584
26 O 0.338 0.549 0.981
27 O 0.352 0.705 0.686
28 O 0.417 0.312 0.581
29 O 0.451 0.662 0.519
30 O 0.488 0.217 0.783
31 O 0.512 0.783 0.217
32 O 0.549 0.338 0.481
33 O 0.583 0.688 0.419
34 O 0.648 0.295 0.314
35 O 0.662 0.451 0.019
36 O 0.672 0.953 0.416
37 O 0.688 0.583 0.919
38 O 0.705 0.352 0.186
39 O 0.783 0.512 0.717
40 O 0.812 0.171 0.841
41 O 0.826 0.034 0.965
42 O 0.829 0.188 0.659
43 O 0.867 0.939 0.135
44 O 0.939 0.867 0.635
45 O 0.953 0.672 0.916
46 O 0.966 0.174 0.535

Most intense lines, 2θ from 10° to 90°, low angle first:
2θ/deg, I_rel
20.04, 17.0
24.96, 100.0
25.65, 21.7
26.18, 61.3
27.71, 32.0
29.30, 34.4
32.54, 18.1
45.61, 26.4
48.71, 15.4
52.75, 11.9

# 3
Computed PXRD pattern
Compound: Cs2Mo4O13
Radiation: a wavelength of 1.5418 Å
Structure: the GGA+U geometry in Alexandria
Neutral-atom scattering factors, no anomalous dispersion.

Crystal structure
Unit cell a=8.704 b=8.852 c=10.812 alpha=107.53 beta=104.26 gamma=108.75
Positions (direct):
1 Cs 0.073 0.121 0.293
2 Cs 0.349 0.803 0.573
3 Cs 0.651 0.197 0.427
4 Cs 0.927 0.879 0.707
5 Mo 0.126 0.445 0.739
6 Mo 0.151 0.711 0.058
7 Mo 0.467 0.285 0.958
8 Mo 0.499 0.572 0.283
9 Mo 0.501 0.428 0.717
10 Mo 0.533 0.715 0.042
11 Mo 0.849 0.289 0.942
12 Mo 0.874 0.555 0.261
13 O 0.002 0.222 0.631
14 O 0.013 0.545 0.663
15 O 0.021 0.435 0.888
16 O 0.025 0.788 0.968
17 O 0.279 0.893 0.218
18 O 0.299 0.704 0.941
19 O 0.310 0.502 0.670
20 O 0.350 0.067 0.840
21 O 0.352 0.401 0.871
22 O 0.354 0.470 0.349
23 O 0.361 0.615 0.140
24 O 0.387 0.212 0.588
25 O 0.393 0.300 0.099
26 O 0.607 0.700 0.901
27 O 0.613 0.788 0.412
28 O 0.639 0.385 0.860
29 O 0.646 0.530 0.651
30 O 0.648 0.599 0.129
31 O 0.650 0.933 0.160
32 O 0.690 0.498 0.330
33 O 0.701 0.296 0.059
34 O 0.721 0.107 0.782
35 O 0.975 0.212 0.032
36 O 0.979 0.565 0.112
37 O 0.987 0.455 0.337
38 O 0.998 0.778 0.369

Most intense lines, 2θ from 10° to 90°, low angle first:
2θ/deg, I_rel
11.60, 58.2
17.36, 35.9
22.76, 34.8
23.05, 100.0
24.72, 77.0
25.49, 53.0
26.98, 53.8
27.36, 47.6
28.58, 44.0
28.94, 53.4

# 4
Computed PXRD pattern
Compound: Cs2Mo3O10
Radiation: a wavelength of 1.5418 Å
Structure: the GGA+U geometry in Alexandria
Neutral-atom scattering factors, no anomalous dispersion.

Crystal structure
Unit cell a=8.649 b=8.649 c=9.625 alpha=96.33 beta=96.33 gamma=60.71
Positions (direct):
1 Cs 0.094 0.261 0.162
2 Cs 0.261 0.094 0.662
3 Cs 0.739 0.906 0.338
4 Cs 0.906 0.739 0.838
5 Mo 0.233 0.767 0.250
6 Mo 0.327 0.466 0.477
7 Mo 0.466 0.327 0.977
8 Mo 0.534 0.673 0.023
9 Mo 0.673 0.534 0.523
10 Mo 0.767 0.233 0.750
11 O 0.059 0.844 0.121
12 O 0.156 0.941 0.379
13 O 0.175 0.595 0.319
14 O 0.176 0.552 0.607
15 O 0.251 0.364 0.925
16 O 0.364 0.251 0.425
17 O 0.405 0.825 0.181
18 O 0.406 0.547 0.096
19 O 0.448 0.824 0.893
20 O 0.453 0.594 0.404
21 O 0.547 0.406 0.596
22 O 0.552 0.176 0.107
23 O 0.594 0.453 0.904
24 O 0.595 0.175 0.819
25 O 0.636 0.749 0.575
26 O 0.749 0.636 0.075
27 O 0.824 0.448 0.393
28 O 0.825 0.405 0.681
29 O 0.844 0.059 0.621
30 O 0.941 0.156 0.879

Most intense lines, 2θ from 10° to 90°, low angle first:
2θ/deg, I_rel
20.82, 29.4
22.37, 26.6
22.70, 94.2
23.63, 97.1
24.86, 100.0
28.57, 51.0
29.25, 39.5
31.91, 36.1
38.85, 41.0
43.05, 47.6

# 5
Computed PXRD pattern
Compound: CsMoO3
Radiation: a wavelength of 1.5418 Å
Structure: the GGA+U geometry in Alexandria
Neutral-atom scattering factors, no anomalous dispersion.

Crystal structure
Unit cell a=7.570 b=7.570 c=7.570 alpha=43.40 beta=43.40 gamma=43.40
Positions (direct):
1 Cs 0.123 0.123 0.123
2 Cs 0.877 0.877 0.877
3 Mo 0.334 0.334 0.334
4 Mo 0.666 0.666 0.666
5 O 0.057 0.559 0.559
6 O 0.441 0.441 0.943
7 O 0.441 0.943 0.441
8 O 0.559 0.057 0.559
9 O 0.559 0.559 0.057
10 O 0.943 0.441 0.441

Most intense lines, 2θ from 10° to 90°, low angle first:
2θ/deg, I_rel
20.26, 18.3
25.27, 100.0
28.48, 44.1
31.98, 73.1
41.19, 24.8
41.69, 14.9
43.35, 17.2
51.69, 37.5
53.07, 25.2
56.99, 14.0

# 6
Computed PXRD pattern
Compound: Cs3Mo6P10O38
Radiation: a wavelength of 1.5418 Å
Structure: the GGA+U geometry in Alexandria
Neutral-atom scattering factors, no anomalous dispersion.

Crystal structure
Unit cell a=6.558 b=9.728 c=14.596 alpha=89.82 beta=88.66 gamma=73.93
Positions (direct):
1 Cs 0.000 0.000 0.000
2 Cs 0.039 0.626 0.715
3 Cs 0.961 0.374 0.285
4 Mo 0.267 0.662 0.387
5 Mo 0.281 0.635 0.135
6 Mo 0.382 0.960 0.749
7 Mo 0.618 0.040 0.251
8 Mo 0.719 0.365 0.865
9 Mo 0.733 0.338 0.613
10 P 0.154 0.953 0.254
11 P 0.263 0.278 0.890
12 P 0.284 0.241 0.592
13 P 0.488 0.283 0.062
14 P 0.494 0.296 0.427
15 P 0.506 0.704 0.573
16 P 0.512 0.717 0.938
17 P 0.716 0.759 0.408
18 P 0.737 0.722 0.110
19 P 0.846 0.047 0.746
20 O 0.027 0.361 0.897
21 O 0.053 0.330 0.589
22 O 0.073 0.945 0.753
23 O 0.177 0.869 0.345
24 O 0.205 0.854 0.169
25 O 0.256 0.600 0.263
26 O 0.297 0.142 0.835
27 O 0.297 0.713 0.523
28 O 0.298 0.054 0.253
29 O 0.322 0.093 0.635
30 O 0.332 0.688 0.998
31 O 0.336 0.226 0.993
32 O 0.347 0.413 0.110
33 O 0.348 0.449 0.425
34 O 0.365 0.205 0.486
35 O 0.394 0.379 0.858
36 O 0.413 0.336 0.632
37 O 0.424 0.842 0.874
38 O 0.465 0.770 0.668
39 O 0.535 0.230 0.332
40 O 0.576 0.158 0.126
41 O 0.587 0.664 0.368
42 O 0.606 0.621 0.142
43 O 0.635 0.795 0.514
44 O 0.652 0.551 0.575
45 O 0.653 0.587 0.890
46 O 0.664 0.774 0.007
47 O 0.668 0.312 0.002
48 O 0.678 0.907 0.365
49 O 0.702 0.946 0.747
50 O 0.703 0.287 0.477
51 O 0.703 0.858 0.165
52 O 0.744 0.400 0.737
53 O 0.795 0.146 0.831
54 O 0.823 0.131 0.655
55 O 0.927 0.055 0.247
56 O 0.947 0.670 0.411
57 O 0.973 0.639 0.103

Most intense lines, 2θ from 10° to 90°, low angle first:
2θ/deg, I_rel
11.26, 48.0
19.90, 62.5
20.60, 71.7
21.11, 52.4
22.62, 48.2
26.20, 76.5
27.56, 47.5
27.81, 61.2
28.09, 100.0
28.65, 77.9